Starting from a DFT-relaxed cell (GGA-PBE, Alexandria), the X-ray diffraction stick pattern of CrCu2Au4 was calculated for copper Kα.

Structure:
```
CrCu2Au4
1.0
-3.9170 3.9170 3.9110
3.9170 -3.9170 3.9110
3.9170 3.9170 -3.9110
Cr Cu Au
2 4 8
direct
0.0000 0.0000 0.0000 Cr
0.7500 0.2500 0.5000 Cr
0.2394 0.6250 0.1144 Cu
0.3750 0.4894 0.6144 Cu
0.5106 0.1250 0.8856 Cu
0.8750 0.7606 0.3856 Cu
0.1318 0.7147 0.7466 Au
0.1352 0.2182 0.7534 Au
0.2853 0.0318 0.4171 Au
0.4647 0.3818 0.2466 Au
0.6148 0.8682 0.5829 Au
0.6182 0.8648 0.0829 Au
0.7818 0.5353 0.9171 Au
0.9682 0.3852 0.2534 Au
```

Peak list (10 most intense, 2θ from 10° to 90°, sorted by position)
27.91 deg, I = 55
32.34 deg, I = 8
36.28 deg, I = 100
43.23 deg, I = 96
57.68 deg, I = 35
60.27 deg, I = 34
74.72 deg, I = 22
76.99 deg, I = 10
79.30 deg, I = 17
88.23 deg, I = 12

---

Starting from a DFT-relaxed cell (GGA-PBE, Alexandria), the X-ray diffraction stick pattern of NpTcC was calculated for copper Kα.

Structure:
```
NpTcC
1.0
0.0000 4.6344 5.5751
3.3522 0.0000 5.5751
3.3522 4.6344 0.0000
Np Tc C
4 4 4
direct
0.0000 0.0000 0.0000 Np
0.0000 0.0000 0.5000 Np
0.0000 0.5000 0.0000 Np
0.5000 0.0000 0.0000 Np
0.2503 0.2503 0.4997 Tc
0.4997 0.4997 0.2503 Tc
0.5003 0.5003 0.7497 Tc
0.7497 0.7497 0.5003 Tc
0.2057 0.5443 0.2057 C
0.4557 0.7943 0.4557 C
0.5443 0.2057 0.5443 C
0.7943 0.4557 0.7943 C
```

Peak list (10 most intense, 2θ from 10° to 90°, sorted by position)
18.17 deg, I = 36
32.11 deg, I = 69
32.92 deg, I = 75
36.81 deg, I = 100
40.27 deg, I = 44
42.39 deg, I = 36
48.54 deg, I = 23
52.41 deg, I = 20
60.35 deg, I = 25
78.31 deg, I = 24

---

Starting from a DFT-relaxed cell (GGA-PBE, Alexandria), the X-ray diffraction stick pattern of SbWI was calculated for copper Kα.

Structure:
```
SbWI
1.0
3.6515 0.0000 0.0000
0.0015 6.5852 0.0000
0.0167 1.8832 7.5154
Sb W I
2 2 2
direct
0.0011 0.0672 0.2631 Sb
0.9989 0.9328 0.7369 Sb
0.4999 0.1908 0.5003 W
0.5001 0.8092 0.4997 W
0.4988 0.4255 0.7592 I
0.5012 0.5745 0.2408 I
```

Peak list (10 most intense, 2θ from 10° to 90°, sorted by position)
11.78 deg, I = 100
24.38 deg, I = 24
27.15 deg, I = 23
28.15 deg, I = 20
32.07 deg, I = 23
33.03 deg, I = 27
34.75 deg, I = 37
39.33 deg, I = 27
39.98 deg, I = 17
48.43 deg, I = 45

---

Starting from a DFT-relaxed cell (GGA-PBE, Alexandria), the X-ray diffraction stick pattern of ZnPd4Au5 was calculated for copper Kα.

Structure:
```
ZnPd4Au5
1.0
2.9223 0.0000 0.0000
0.0000 2.9223 0.0000
0.0000 0.0000 19.3414
Zn Pd Au
1 4 5
direct
0.0000 0.0000 0.0000 Zn
0.0000 0.0000 0.1948 Pd
0.0000 0.0000 0.3981 Pd
0.0000 0.0000 0.6019 Pd
0.0000 0.0000 0.8052 Pd
0.5000 0.5000 0.0931 Au
0.5000 0.5000 0.2966 Au
0.5000 0.5000 0.5000 Au
0.5000 0.5000 0.7034 Au
0.5000 0.5000 0.9069 Au
```

Peak list (10 most intense, 2θ from 10° to 90°, sorted by position)
22.99 deg, I = 9
30.59 deg, I = 10
38.61 deg, I = 100
43.81 deg, I = 36
46.98 deg, I = 13
63.69 deg, I = 12
66.18 deg, I = 19
77.02 deg, I = 27
81.61 deg, I = 10
82.79 deg, I = 11

---

Starting from a DFT-relaxed cell (GGA-PBE, Alexandria), the X-ray diffraction stick pattern of Ti4SiMo was calculated for copper Kα.

Structure:
```
Ti4SiMo
1.0
2.1208 1.2245 7.0760
-2.1208 1.2245 7.0760
0.0000 -2.4489 7.0760
Ti Si Mo
4 1 1
direct
0.1232 0.1232 0.1232 Ti
0.3747 0.3747 0.3747 Ti
0.6253 0.6253 0.6253 Ti
0.8768 0.8768 0.8768 Ti
0.5000 0.5000 0.5000 Si
0.0000 0.0000 0.0000 Mo
```

Peak list (10 most intense, 2θ from 10° to 90°, sorted by position)
12.51 deg, I = 34
24.59 deg, I = 21
25.17 deg, I = 21
25.66 deg, I = 66
42.00 deg, I = 100
42.63 deg, I = 96
50.15 deg, I = 18
61.39 deg, I = 30
76.31 deg, I = 15
77.61 deg, I = 29

---

Starting from a DFT-relaxed cell (GGA-PBE, Alexandria), the X-ray diffraction stick pattern of Pm2YMg was calculated for copper Kα.

Structure:
```
Pm2YMg
1.0
-2.6133 2.6133 9.1073
2.6133 -2.6133 9.1073
2.6133 2.6133 -9.1073
Pm Y Mg
4 2 2
direct
0.0000 0.5000 0.5000 Pm
0.1347 0.1347 0.0000 Pm
0.5000 0.0000 0.5000 Pm
0.8653 0.8653 0.0000 Pm
0.3622 0.3622 0.0000 Y
0.6378 0.6378 0.0000 Y
0.2500 0.7500 0.5000 Mg
0.7500 0.2500 0.5000 Mg
```

Peak list (10 most intense, 2θ from 10° to 90°, sorted by position)
26.02 deg, I = 23
31.17 deg, I = 100
34.31 deg, I = 40
39.58 deg, I = 11
45.81 deg, I = 10
49.31 deg, I = 14
53.37 deg, I = 19
56.31 deg, I = 8
59.50 deg, I = 31
65.00 deg, I = 10

---

Starting from a DFT-relaxed cell (GGA-PBE, Alexandria), the X-ray diffraction stick pattern of Na2TaAuS4 was calculated for copper Kα.

Structure:
```
Na2TaAuS4
1.0
8.2506 0.0000 0.0000
0.0000 7.3453 0.0000
0.0000 0.0000 7.0528
Na Ta Au S
4 2 2 8
direct
0.2500 0.2277 0.0000 Na
0.2500 0.7723 0.5000 Na
0.7500 0.2277 0.0000 Na
0.7500 0.7723 0.5000 Na
0.0000 0.3223 0.4820 Ta
0.5000 0.6777 0.9820 Ta
0.0000 0.7777 0.9174 Au
0.5000 0.2223 0.4174 Au
0.0000 0.3915 0.7945 S
0.0000 0.5853 0.3178 S
0.2236 0.1477 0.3950 S
0.2764 0.8523 0.8950 S
0.5000 0.4147 0.8178 S
0.5000 0.6085 0.2945 S
0.7236 0.8523 0.8950 S
0.7764 0.1477 0.3950 S
```

Peak list (10 most intense, 2θ from 10° to 90°, sorted by position)
17.43 deg, I = 100
20.51 deg, I = 15
21.54 deg, I = 31
24.23 deg, I = 25
25.26 deg, I = 36
27.84 deg, I = 65
35.28 deg, I = 18
44.93 deg, I = 16
46.13 deg, I = 18
47.57 deg, I = 15

---

Starting from a DFT-relaxed cell (GGA-PBE, Alexandria), the X-ray diffraction stick pattern of Ca2Pm2Hg7 was calculated for copper Kα.

Structure:
```
Ca2Pm2Hg7
1.0
3.7119 -5.7738 0.0000
3.7119 5.7738 0.0000
0.0000 0.0000 7.9801
Ca Pm Hg
2 2 7
direct
0.2458 0.2458 0.0000 Ca
0.7542 0.7542 0.0000 Ca
0.2691 0.7309 0.5000 Pm
0.7309 0.2691 0.5000 Pm
0.0000 0.0000 0.5000 Hg
0.0000 0.5000 0.1838 Hg
0.0000 0.5000 0.8162 Hg
0.5000 0.0000 0.1838 Hg
0.5000 0.0000 0.8162 Hg
0.5000 0.5000 0.3050 Hg
0.5000 0.5000 0.6950 Hg
```

Peak list (10 most intense, 2θ from 10° to 90°, sorted by position)
26.49 deg, I = 100
28.59 deg, I = 57
30.98 deg, I = 67
34.56 deg, I = 25
36.54 deg, I = 59
37.21 deg, I = 46
41.20 deg, I = 41
49.09 deg, I = 20
59.21 deg, I = 32
72.26 deg, I = 24